Entry 1:
Computed powder XRD pattern of Nd5Ho3Sc2 for Cu Kα (weighted mean of Kα1 and Kα2), from a DFT-relaxed cell (PBE, Alexandria).

```
20
Lattice="9.375 0.000 0.000 -3.979 8.492 0.000 -2.729 -4.217 7.941" Properties=species:S:1:pos:R:3 pbc="T T T"
Nd -1.042 -0.815 2.738
Nd -2.344 0.053 5.967
Nd -0.968 5.099 1.229
Nd 2.368 0.029 1.971
Nd 0.960 0.884 5.184
Nd 1.708 3.390 2.757
Nd 0.299 4.245 5.970
Nd 3.636 -0.824 6.712
Nd 5.012 4.222 1.973
Nd 3.709 5.090 5.203
Ho -0.334 1.711 0.422
Ho -2.995 3.405 6.735
Ho -2.352 5.927 4.394
Ho 5.019 -1.652 3.547
Ho 5.663 0.870 1.206
Ho 3.001 2.564 7.519
Sc -1.738 2.547 3.575
Sc 0.305 -1.669 7.532
Sc 2.362 5.944 0.409
Sc 4.406 1.728 4.365
```

Principal peaks in the range 10° ≤ 2θ ≤ 90°, in order of falling intensity:
d_spacing, 2θ/deg, I_rel
2.904, 30.79, 100
2.892, 30.92, 97
2.507, 35.82, 66
1.777, 51.43, 35
2.515, 35.69, 33
1.516, 61.13, 28

***

Entry 2:
Computed powder XRD pattern of Nd4HoSc3 for Cu Kα (weighted mean of Kα1 and Kα2), from a DFT-relaxed cell (PBE, Alexandria).

```
16
Lattice="11.178 0.000 0.000 0.000 7.171 0.000 0.000 0.000 6.128" Properties=species:S:1:pos:R:3 pbc="T T T"
Nd 0.000 0.849 0.000
Nd 0.000 4.537 6.061
Nd 2.784 4.498 2.023
Nd 2.805 2.673 5.087
Nd 5.589 2.634 2.997
Nd 5.589 6.322 3.064
Nd 8.373 2.673 5.087
Nd 8.394 4.498 2.023
Ho 0.000 6.318 3.092
Ho 5.589 0.853 0.028
Sc 0.000 2.646 2.983
Sc 2.732 0.869 2.063
Sc 2.857 6.301 5.127
Sc 5.589 4.525 6.047
Sc 8.321 6.301 5.127
Sc 8.446 0.869 2.063
```

Principal peaks in the range 10° ≤ 2θ ≤ 90°, in order of falling intensity:
d_spacing, 2θ/deg, I_rel
2.707, 33.09, 100
2.687, 33.35, 48
2.794, 32.03, 36
3.095, 28.85, 25
1.498, 61.94, 23
1.596, 57.76, 20

***

Entry 3:
Computed powder XRD pattern of Nd6HoSc8 for Cu Kα (weighted mean of Kα1 and Kα2), from a DFT-relaxed cell (PBE, Alexandria).

```
15
Lattice="4.653 2.686 5.868 -4.653 2.686 5.868 0.000 -5.373 5.868" Properties=species:S:1:pos:R:3 pbc="T T T"
Nd -1.204 -1.739 7.138
Nd -2.109 0.173 10.466
Nd -0.904 1.913 7.138
Nd 0.904 -1.913 10.466
Nd 2.109 -0.173 7.138
Nd 1.204 1.739 10.466
Ho 0.000 0.000 0.000
Sc -3.834 0.436 7.631
Sc -2.294 -3.102 9.973
Sc 0.000 0.000 3.961
Sc 1.540 -3.538 7.631
Sc -1.540 3.538 9.973
Sc 0.000 0.000 13.643
Sc 2.294 3.102 7.631
Sc 3.834 -0.436 9.973
```

Principal peaks in the range 10° ≤ 2θ ≤ 90°, in order of falling intensity:
d_spacing, 2θ/deg, I_rel
2.879, 31.07, 100
2.505, 35.85, 86
3.001, 29.77, 40
3.646, 24.41, 33
3.226, 27.65, 30
1.759, 52.00, 27

***

Entry 4:
Computed powder XRD pattern of Nd3Ho8Sc for Cu Kα (weighted mean of Kα1 and Kα2), from a DFT-relaxed cell (PBE, Alexandria).

```
12
Lattice="-4.351 4.351 5.634 4.351 -4.351 5.634 4.351 4.351 -5.634" Properties=species:S:1:pos:R:3 pbc="T T T"
Nd 0.000 0.000 0.000
Nd 4.351 0.000 2.817
Nd 0.000 4.351 2.817
Ho 3.257 3.257 -2.690
Ho 2.030 -2.030 5.340
Ho 2.321 2.321 0.294
Ho 1.094 1.094 2.944
Ho 1.094 -1.094 8.324
Ho -2.030 2.030 5.340
Ho 2.030 2.030 5.927
Ho -1.094 1.094 8.324
Sc 0.000 0.000 5.634
```

Principal peaks in the range 10° ≤ 2θ ≤ 90°, in order of falling intensity:
d_spacing, 2θ/deg, I_rel
2.473, 36.33, 100
3.679, 24.19, 93
3.444, 25.87, 90
3.077, 29.02, 82
2.816, 31.78, 82
2.702, 33.16, 79

***

Entry 5:
Computed powder XRD pattern of Nd15HoSc4 for Cu Kα (weighted mean of Kα1 and Kα2), from a DFT-relaxed cell (PBE, Alexandria).

```
20
Lattice="5.075 0.000 0.000 0.000 5.075 0.000 0.000 0.000 25.303" Properties=species:S:1:pos:R:3 pbc="T T T"
Nd 0.000 0.000 0.000
Nd 0.000 0.000 5.115
Nd 0.000 0.000 10.137
Nd 0.000 0.000 15.165
Nd 0.000 0.000 20.187
Nd 0.000 2.538 2.603
Nd 0.000 2.538 7.625
Nd 0.000 2.538 12.651
Nd 0.000 2.538 17.677
Nd 0.000 2.538 22.700
Nd 2.538 0.000 2.603
Nd 2.538 0.000 7.625
Nd 2.538 0.000 12.651
Nd 2.538 0.000 17.677
Nd 2.538 0.000 22.700
Ho 2.538 2.538 0.000
Sc 2.538 2.538 5.113
Sc 2.538 2.538 10.137
Sc 2.538 2.538 15.166
Sc 2.538 2.538 20.190
```

Principal peaks in the range 10° ≤ 2θ ≤ 90°, in order of falling intensity:
d_spacing, 2θ/deg, I_rel
2.927, 30.54, 100
1.793, 50.94, 35
2.538, 35.37, 34
1.530, 60.52, 28
2.530, 35.48, 17
1.527, 60.66, 14

***

Entry 6:
Computed powder XRD pattern of Nd3Ho7Sc2 for Cu Kα (weighted mean of Kα1 and Kα2), from a DFT-relaxed cell (PBE, Alexandria).

```
12
Lattice="3.578 0.000 0.000 0.000 5.507 0.000 -1.792 0.000 20.127" Properties=species:S:1:pos:R:3 pbc="T T T"
Nd 0.000 0.000 0.000
Nd -0.006 2.754 13.295
Nd 1.792 2.754 6.832
Ho 0.003 2.754 3.543
Ho 0.000 0.000 8.655
Ho -0.006 0.000 17.344
Ho 1.789 2.754 0.000
Ho 1.792 0.000 2.783
Ho 1.786 0.000 11.472
Ho 1.782 2.754 16.584
Sc 0.004 0.000 5.528
Sc 1.782 0.000 14.599
```

Principal peaks in the range 10° ≤ 2θ ≤ 90°, in order of falling intensity:
d_spacing, 2θ/deg, I_rel
2.811, 31.83, 100
2.754, 32.52, 44
2.660, 33.70, 32
2.794, 32.04, 26
2.865, 31.22, 22
2.549, 35.21, 20

***

Entry 7:
Computed powder XRD pattern of Nd3Ho2Sc4 for Cu Kα (weighted mean of Kα1 and Kα2), from a DFT-relaxed cell (PBE, Alexandria).

```
18
Lattice="7.967 -5.677 0.000 7.967 5.677 0.000 -0.757 0.000 5.817" Properties=species:S:1:pos:R:3 pbc="T T T"
Nd 7.399 3.992 4.363
Nd 4.682 1.366 5.250
Nd 5.061 -1.366 2.342
Nd 10.117 1.366 3.475
Nd 10.495 -1.366 0.567
Nd 7.778 -3.992 1.454
Ho 9.228 -4.349 4.603
Ho 5.949 4.349 1.214
Ho 9.606 4.349 1.695
Ho 5.571 -4.349 4.122
Sc 3.402 1.530 2.051
Sc 6.762 1.344 2.640
Sc 3.023 -1.530 4.960
Sc 8.794 1.344 0.268
Sc 6.384 -1.344 5.549
Sc 12.154 1.530 0.857
Sc 8.415 -1.344 3.177
Sc 11.776 -1.530 3.766
```

Principal peaks in the range 10° ≤ 2θ ≤ 90°, in order of falling intensity:
d_spacing, 2θ/deg, I_rel
2.837, 31.54, 100
2.713, 33.02, 92
2.847, 31.43, 51
2.322, 38.78, 28
2.316, 38.88, 27
1.613, 57.09, 19

***

Entry 8:
Computed powder XRD pattern of Nd7Ho12Sc for Cu Kα (weighted mean of Kα1 and Kα2), from a DFT-relaxed cell (PBE, Alexandria).

```
20
Lattice="-5.640 5.640 5.640 5.640 -5.640 5.640 5.640 5.640 -5.640" Properties=species:S:1:pos:R:3 pbc="T T T"
Nd 2.820 2.820 -2.820
Nd 2.820 -2.820 2.820
Nd 5.640 0.000 0.000
Nd -2.820 2.820 2.820
Nd 0.000 5.640 0.000
Nd 0.000 0.000 5.640
Nd 2.820 2.820 2.820
Ho 5.640 2.917 -2.917
Ho 5.640 -2.917 2.917
Ho 2.917 5.640 -2.917
Ho 2.723 2.723 0.000
Ho 2.723 0.000 2.723
Ho 2.917 -2.917 5.640
Ho 0.000 2.723 2.723
Ho 5.640 2.917 2.917
Ho -2.917 5.640 2.917
Ho -2.917 2.917 5.640
Ho 2.917 5.640 2.917
Ho 2.917 2.917 5.640
Sc 0.000 0.000 0.000
```

Principal peaks in the range 10° ≤ 2θ ≤ 90°, in order of falling intensity:
d_spacing, 2θ/deg, I_rel
2.820, 31.73, 100
3.256, 27.39, 73
1.994, 45.49, 73
5.640, 15.71, 34
1.700, 53.92, 32
1.261, 75.37, 31

***

Entry 9:
Computed powder XRD pattern of NdHoSc4 for Cu Kα (weighted mean of Kα1 and Kα2), from a DFT-relaxed cell (PBE, Alexandria).

```
12
Lattice="5.345 0.000 0.000 0.000 10.269 0.000 0.000 0.000 5.974" Properties=species:S:1:pos:R:3 pbc="T T T"
Nd 1.336 2.567 0.449
Nd 4.009 7.701 5.525
Ho 1.336 7.701 3.442
Ho 4.009 2.567 2.532
Sc 1.336 0.811 3.512
Sc 1.336 4.323 3.512
Sc 1.336 5.954 0.533
Sc 1.336 9.449 0.533
Sc 4.009 0.820 5.441
Sc 4.009 4.315 5.441
Sc 4.009 5.945 2.462
Sc 4.009 9.458 2.462
```

Principal peaks in the range 10° ≤ 2θ ≤ 90°, in order of falling intensity:
d_spacing, 2θ/deg, I_rel
2.596, 34.55, 100
3.714, 23.96, 55
2.608, 34.39, 47
5.143, 17.24, 45
2.673, 33.53, 36
2.970, 30.09, 22

***

Entry 10:
Computed powder XRD pattern of Nd3Ho3Sc5 for Cu Kα (weighted mean of Kα1 and Kα2), from a DFT-relaxed cell (PBE, Alexandria).

```
11
Lattice="9.112 0.000 0.000 -4.556 7.891 0.000 0.000 0.000 5.397" Properties=species:S:1:pos:R:3 pbc="T T T"
Nd -2.838 4.916 0.000
Nd 1.718 2.976 0.000
Nd 5.676 0.000 0.000
Ho -1.815 3.143 2.699
Ho 3.629 0.000 2.699
Ho 2.741 4.748 2.699
Sc -1.133 1.962 0.000
Sc 2.265 0.000 0.000
Sc 0.000 5.261 0.000
Sc 4.556 2.630 0.000
Sc 3.424 5.930 0.000
```

Principal peaks in the range 10° ≤ 2θ ≤ 90°, in order of falling intensity:
d_spacing, 2θ/deg, I_rel
3.482, 25.59, 100
2.611, 34.35, 53
4.556, 19.48, 38
2.028, 44.68, 38
2.630, 34.08, 36
2.699, 33.20, 30

***

Entry 11:
Computed powder XRD pattern of Nd5Ho4Sc2 for Cu Kα (weighted mean of Kα1 and Kα2), from a DFT-relaxed cell (PBE, Alexandria).

```
11
Lattice="8.839 0.000 0.000 0.000 3.522 0.000 -0.773 0.000 11.317" Properties=species:S:1:pos:R:3 pbc="T T T"
Nd 0.000 0.000 0.000
Nd 0.354 0.000 3.485
Nd 2.159 0.000 9.509
Nd 5.907 0.000 1.808
Nd 7.712 0.000 7.832
Ho 1.696 1.761 6.313
Ho 2.840 1.761 1.401
Ho 5.226 1.761 9.916
Ho 6.370 1.761 5.004
Sc 3.597 0.000 4.173
Sc 4.469 0.000 7.144
```

Principal peaks in the range 10° ≤ 2θ ≤ 90°, in order of falling intensity:
d_spacing, 2θ/deg, I_rel
2.750, 32.56, 100
2.863, 31.24, 71
2.801, 31.95, 65
2.775, 32.26, 60
2.893, 30.90, 57
2.648, 33.85, 51

***

Entry 12:
Computed powder XRD pattern of NdHo2Sc5 for Cu Kα (weighted mean of Kα1 and Kα2), from a DFT-relaxed cell (PBE, Alexandria).

```
16
Lattice="6.822 0.000 0.000 0.000 6.822 0.000 0.000 0.000 9.320" Properties=species:S:1:pos:R:3 pbc="T T T"
Nd 0.000 0.000 0.000
Nd 3.411 3.411 4.660
Ho 0.000 3.411 9.316
Ho 0.000 3.411 4.656
Ho 3.411 0.000 9.316
Ho 3.411 0.000 4.656
Sc 0.000 0.000 4.653
Sc 1.707 1.707 2.327
Sc 1.704 1.704 6.986
Sc 1.707 5.115 2.327
Sc 1.704 5.119 6.986
Sc 3.411 3.411 9.313
Sc 5.115 1.707 2.327
Sc 5.119 1.704 6.986
Sc 5.115 5.115 2.327
Sc 5.119 5.119 6.986
```

Principal peaks in the range 10° ≤ 2θ ≤ 90°, in order of falling intensity:
d_spacing, 2θ/deg, I_rel
2.753, 32.53, 100
2.412, 37.28, 34
1.450, 64.25, 27
1.676, 54.78, 22
4.660, 19.05, 21
3.411, 26.12, 20